Diffraction record for Sr2HfCoO6. The powder XRD pattern is simulated, not measured: it uses a structure optimized by DFT (GGA+U) and Cu Kα (λ = 1.5418 Å).

Cell: 5.693 5.693 5.693 Å, 60.00 60.00 60.00°
Fractional coordinates of all 10 atoms:
Sr 0.250 0.250 0.250
Sr 0.750 0.750 0.750
Hf 0.000 0.000 0.000
Co 0.500 0.500 0.500
O 0.256 0.256 0.744
O 0.256 0.744 0.256
O 0.256 0.744 0.744
O 0.744 0.256 0.256
O 0.744 0.256 0.744
O 0.744 0.744 0.256

Principal peaks in the range 2θ = 10–80°, in order of rising 2θ:
| d/Å | 2theta | intensity |
| --- | --- | --- |
| 4.648 | 19.1 | 17.8 |
| 4.026 | 22.1 | 7.9 |
| 2.847 | 31.4 | 100.0 |
| 2.428 | 37.0 | 11.7 |
| 2.013 | 45.0 | 32.4 |
| 1.643 | 56.0 | 39.6 |
| 1.423 | 65.6 | 19.6 |
| 1.273 | 74.5 | 17.2 |